The following is a simulated powder X-ray diffraction pattern of NaGe2MoO8. It was derived from a cell relaxed with GGA+U, using Cu Kα (λ = 1.5418 Å).
Intensities are scaled so that the largest is 100.

Structure:
Unit cell a=4.673 b=4.673 c=6.143 alpha=90.00 beta=90.00 gamma=92.11
Atoms (fractional coordinates):
Na (0.000, 0.000, 0.000)
Ge (0.500, 0.500, 0.259)
Ge (0.500, 0.500, 0.741)
Mo (0.000, 0.000, 0.500)
O (0.208, 0.208, 0.283)
O (0.208, 0.208, 0.717)
O (0.307, 0.693, 0.500)
O (0.339, 0.661, 0.000)
O (0.661, 0.339, 0.000)
O (0.693, 0.307, 0.500)
O (0.792, 0.792, 0.283)
O (0.792, 0.792, 0.717)

Largest 10 diffraction maxima, by angle, 10 to 90 degrees two-theta:
d_spacing	2theta	I (rel.)
6.143	14.42	41
3.717	23.94	30
3.364	26.50	93
3.243	27.51	74
2.566	34.97	100
2.335	38.56	24
1.745	52.45	58
1.710	53.60	44
1.622	56.78	18
1.388	67.47	45